Record 1
The following is a calculated X-ray powder pattern of Pm2NdGe2. It was derived from a structure optimized by DFT (GGA-PBE), using Cu Ka.

Main lines, in order of rising 2θ (2θ from 15° to 90°):
24.54 deg, I 33; 34.98 deg, I 100; 43.19 deg, I 10; 45.66 deg, I 6; 50.30 deg, I 17; 56.74 deg, I 14; 62.71 deg, I 27; 62.81 deg, I 8; 73.84 deg, I 6; 84.42 deg, I 11

Atomic structure:
```
10
Lattice="6.2759 0.0000 0.0000 0.0000 5.1327 0.0000 -0.0015 0.0000 8.8936" Properties=species:S:1:pos:R:3 pbc="T T T"
Pm 1.1891 1.2832 0.7449
Pm 1.1944 3.8495 5.1848
Pm 5.0800 1.2832 3.7088
Pm 5.0854 3.8495 8.1487
Nd 3.1329 1.2832 6.6752
Nd 3.1415 3.8495 2.2184
Ge 1.8362 1.2832 3.7059
Ge 1.8357 3.8495 8.1517
Ge 4.4387 1.2832 0.7419
Ge 4.4382 3.8495 5.1877
```

Record 2
The following is a calculated X-ray powder pattern of RbDy2Ag3Te5. It was derived from a structure optimized by DFT (GGA-PBE), using Cu Ka.

Main lines, in order of rising 2θ (2θ from 15° to 90°):
25.46 deg, I 58; 25.92 deg, I 80; 27.26 deg, I 94; 29.01 deg, I 68; 31.06 deg, I 42; 32.10 deg, I 100; 33.76 deg, I 67; 35.18 deg, I 72; 39.40 deg, I 88; 42.94 deg, I 77

Atomic structure:
```
22
Lattice="2.2870 -8.1498 0.0000 2.2870 8.1498 0.0000 0.0000 0.0000 18.4648" Properties=species:S:1:pos:R:3 pbc="T T T"
Rb 2.2870 7.2135 13.8486
Rb 2.2870 -7.2135 4.6162
Dy 2.2870 5.0474 1.7401
Dy 2.2870 5.0474 7.4923
Dy 2.2870 -5.0474 10.9725
Dy 2.2870 -5.0474 16.7247
Ag 2.2870 2.6688 13.8486
Ag 2.2870 1.3963 0.5801
Ag 2.2870 1.3963 8.6523
Ag 2.2870 -1.3963 9.8125
Ag 2.2870 -1.3963 17.8847
Ag 2.2870 -2.6688 4.6162
Te 2.2870 5.2602 10.5793
Te 2.2870 5.2602 17.1179
Te 2.2870 3.9039 4.6162
Te 2.2870 1.0147 11.4709
Te 2.2870 1.0147 16.2263
Te 2.2870 -1.0147 2.2385
Te 2.2870 -1.0147 6.9939
Te 2.2870 -3.9039 13.8486
Te 2.2870 -5.2602 1.3469
Te 2.2870 -5.2602 7.8855
```

Record 3
The following is a calculated X-ray powder pattern of Ce2Tm3Co4. It was derived from a structure optimized by DFT (GGA-PBE), using Cu Ka.

Main lines, in order of rising 2θ (2θ from 15° to 90°):
29.27 deg, I 35; 30.21 deg, I 55; 30.93 deg, I 34; 32.26 deg, I 65; 34.67 deg, I 100; 36.18 deg, I 40; 36.77 deg, I 59; 39.75 deg, I 38; 40.89 deg, I 39; 48.93 deg, I 35

Atomic structure:
```
9
Lattice="8.5770 -1.8616 0.0000 8.5770 1.8616 0.0000 -1.4226 0.0000 5.7813" Properties=species:S:1:pos:R:3 pbc="T T T"
Ce 2.8690 0.0000 0.7520
Ce 12.8624 0.0000 5.0293
Tm 6.0765 0.0000 2.4483
Tm 8.5770 0.0000 0.0000
Tm 9.6550 0.0000 3.3330
Co -0.3574 0.0000 1.8431
Co 3.2939 0.0000 3.7628
Co 12.4375 0.0000 2.0185
Co 16.0889 0.0000 3.9383
```

Record 4
The following is a calculated X-ray powder pattern of La4HoTm3Te8. It was derived from a structure optimized by DFT (GGA-PBE), using Cu Ka.

Main lines, in order of rising 2θ (2θ from 15° to 90°):
28.41 deg, I 100; 39.97 deg, I 38; 41.25 deg, I 37; 48.66 deg, I 7; 50.85 deg, I 21; 58.78 deg, I 13; 65.64 deg, I 17; 67.47 deg, I 18; 74.33 deg, I 12; 75.20 deg, I 6

Atomic structure:
```
16
Lattice="4.3768 2.5270 7.4858 -4.3768 2.5270 7.4858 0.0000 -5.0539 7.4858" Properties=species:S:1:pos:R:3 pbc="T T T"
La 0.0000 0.0000 0.0000
La -2.1884 -1.2635 7.4858
La -2.1884 1.2635 14.9716
La 0.0000 2.5270 7.4858
Ho 0.0000 0.0000 11.2287
Tm -4.3768 0.0000 11.2287
Tm -2.1884 1.2635 3.7429
Tm 2.1884 1.2635 3.7429
Te -2.1987 -1.2694 12.9416
Te 0.0000 0.0000 5.4477
Te 0.0000 -2.5388 9.5159
Te -2.1987 1.2694 9.5159
Te 2.1987 -1.2694 12.9415
Te 0.0000 2.5388 12.9415
Te 0.0000 0.0000 17.0098
Te 2.1987 1.2694 9.5159
```

Record 5
The following is a calculated X-ray powder pattern of Rb4ClO4. It was derived from a structure optimized by DFT (GGA-PBE), using Cu Ka.

Main lines, in order of rising 2θ (2θ from 15° to 90°):
23.11 deg, I 70; 23.56 deg, I 24; 23.89 deg, I 42; 24.87 deg, I 93; 27.58 deg, I 99; 27.68 deg, I 100; 28.74 deg, I 99; 39.81 deg, I 41; 40.73 deg, I 72; 41.21 deg, I 42

Atomic structure:
```
9
Lattice="4.3812 0.0000 0.0000 -0.0300 7.7080 0.0000 -0.0049 -2.0495 7.7001" Properties=species:S:1:pos:R:3 pbc="T T T"
Rb 0.0019 1.0686 1.5099
Rb 2.1564 5.0859 2.2872
Rb 2.1899 0.5726 5.4129
Rb 4.3444 4.5898 6.1903
Cl -0.0025 -1.0248 3.8501
O 2.1596 7.0992 0.4033
O 2.1773 2.4471 3.2623
O 2.1690 3.2113 4.4379
O 2.1867 -1.4407 7.2968
```

Record 6
The following is a calculated X-ray powder pattern of Y2MgTe. It was derived from a structure optimized by DFT (GGA-PBE), using Cu Ka.

Main lines, in order of rising 2θ (2θ from 15° to 90°):
15.04 deg, I 14; 30.32 deg, I 100; 31.39 deg, I 27; 36.47 deg, I 24; 37.37 deg, I 36; 40.12 deg, I 18; 43.72 deg, I 14; 51.81 deg, I 13; 58.21 deg, I 12; 66.87 deg, I 14

Atomic structure:
```
4
Lattice="4.4951 0.0000 0.0000 0.0000 2.0705 5.8906 0.0000 -2.0705 5.8906" Properties=species:S:1:pos:R:3 pbc="T T T"
Y 0.0000 0.0000 0.0000
Y 2.2476 0.0000 3.4907
Mg 2.2476 0.0000 6.5847
Te 0.0000 0.0000 8.5688
```